# 1
Diffraction record for GaHPd4. The PXRD pattern is calculated, not measured: it uses DFT lattice parameters and positions (PBE) and Cu Ka.

Largest 10 diffraction maxima, most intense first, 10 to 80 degrees two-theta:
| index | two_theta | I_rel |
| --- | --- | --- |
| 1 1 1 | 41.00 | 100 |
| 1 1 -1 | 32.19 | 31 |
| 2 0 -1 | 43.95 | 23 |
| 0 2 0 | 44.69 | 22 |
| 0 0 2 | 35.22 | 15 |
| 2 2 -1 | 64.48 | 14 |
| 3 1 0 | 78.77 | 14 |
| 1 3 1 | 79.83 | 13 |
| 1 1 -4 | 72.73 | 10 |
| 0 0 3 | 53.98 | 7 |

```
data_GaHPd4
_chemical_formula_sum 'Ga1 H1 Pd4'
_space_group_name_H-M_alt 'P 1 2 1'
_space_group_IT_number 3
_space_group_name_Hall 'P 2y'
_cell_length_a 4.1205
_cell_length_b 4.0554
_cell_length_c 5.4950
_cell_angle_alpha 90.00
_cell_angle_beta 111.98
_cell_angle_gamma 90.00
loop_
_atom_site_label
_atom_site_fract_x
_atom_site_fract_y
_atom_site_fract_z
_atom_site_occupancy
Ga1 0.0000 0.0000 0.0000 1
H1 0.0000 0.2639 0.5000 1
Pd1 0.1661 0.4975 0.2935 1
Pd2 0.3507 0.9849 0.7063 1
```

# 2
Diffraction record for GaH6Pd12. The PXRD pattern is calculated, not measured: it uses DFT lattice parameters and positions (PBE) and Cu Ka.

Largest 10 diffraction maxima, most intense first, 10 to 80 degrees two-theta:
| index | two_theta | I_rel |
| --- | --- | --- |
| 1 3 1 | 38.15 | 100 |
| 3 0 3 | 45.16 | 65 |
| 1 1 3 | 37.30 | 53 |
| 2 0 2 | 29.67 | 38 |
| 1 0 1 | 14.71 | 32 |
| 3 3 0 | 53.62 | 25 |
| 3 0 0 | 30.19 | 24 |
| 0 4 2 | 46.52 | 20 |
| 7 0 1 | 75.89 | 20 |
| 5 0 2 | 56.47 | 19 |

```
data_GaH6Pd12
_chemical_formula_sum 'Ga3 H18 Pd36'
_space_group_name_H-M_alt 'R -3 m'
_space_group_IT_number 166
_space_group_name_Hall '-R 3 2"'
_cell_length_a 10.2548
_cell_length_b 10.2548
_cell_length_c 8.1952
_cell_angle_alpha 90.00
_cell_angle_beta 90.00
_cell_angle_gamma 120.00
loop_
_atom_site_label
_atom_site_fract_x
_atom_site_fract_y
_atom_site_fract_z
_atom_site_occupancy
Ga1 0.0000 0.0000 0.0000 1
H1 0.1099 0.2198 0.7406 1
Pd1 0.0000 0.3670 0.5000 1
Pd2 0.0896 0.1793 0.3635 1
```